Structure and simulated X-ray powder pattern of CeI3O9 (a structure optimized by DFT (PBE); copper Kα).
No peak broadening, texture or thermal motion is included.

Principal peaks in the range 2θ = 15–90°, by angle:
- 2θ 21.92, rel. 15, hkl 1 1 1
- 2θ 24.84, rel. 100, hkl 1 2 1
- 2θ 26.89, rel. 21, hkl 0 4 0
- 2θ 28.83, rel. 11, hkl 0 1 2
- 2θ 31.22, rel. 16, hkl 2 0 0
- 2θ 41.67, rel. 15, hkl 2 4 0
- 2θ 42.44, rel. 9, hkl 2 0 2
- 2θ 46.28, rel. 11, hkl 1 6 1
- 2θ 50.25, rel. 9, hkl 1 3 3
- 2θ 51.85, rel. 13, hkl 3 2 1

Lattice parameters (Å, degrees): 5.728 13.262 6.371 90.00 90.00 90.00
Space group Pmmn (No. 59, origin choice 2)
Unique sites:
Ce1 0.250 0.250 0.177 (multiplicity 2)
I1 0.250 0.527 0.766 (multiplicity 4)
I2 0.250 0.750 0.345 (multiplicity 2)
O1 0.000 0.250 0.479 (multiplicity 4)
O2 0.009 0.603 0.874 (multiplicity 8)
O3 0.250 0.250 0.883 (multiplicity 2)
O4 0.250 0.556 0.486 (multiplicity 4)